Computed X-ray diffraction stick pattern
Compound: Ba2MnCO
Radiation: Cu Kα
Structure: a crystal structure in Alexandria, relaxed with PBE+U

Top 10 peaks for 10 to 90 degrees two-theta, in order of falling intensity:
two_theta	I (rel.)
31.42	100
33.27	53
58.29	33
23.36	33
20.72	32
39.52	25
54.73	24
47.76	18
65.57	14
42.15	13

Cell and atoms:
Cell lengths 5.3858, 5.3858, 4.2873 Å; angles 90.00, 90.00, 90.00 degrees
Atoms (fractional coordinates):
Ba: 0.0000 0.5000 0.0000
Ba: 0.5000 0.0000 0.0000
Mn: 0.0000 0.0000 0.5000
C: 0.5000 0.5000 0.5000
O: 0.5000 0.5000 0.0000